Record 1
Starting from a structure optimized by DFT (GGA-PBE), the powder X-ray diffraction pattern of Dy2Ge5Ir3 was simulated for copper Kα.

a = 10.306 Å, b = 11.786 Å, c = 6.029 Å
α = 90.00°, β = 90.00°, γ = 90.00°
Space group Ibam (No. 72)
One atom of each set of equivalent atoms:
Dy (0.225, 0.135, 0.000) [8 per cell]
Ge (0.000, 0.000, 0.250) [4 per cell]
Ge (0.000, 0.277, 0.250) [8 per cell]
Ge (0.162, 0.402, 0.000) [8 per cell]
Ir (0.000, 0.500, 0.250) [4 per cell]
Ir (0.112, 0.142, 0.500) [8 per cell]

Main lines, in order of rising 2θ (10° ≤ 2θ ≤ 90°):
hkl	d_spacing	I_rel
1 3 0	3.671	31
1 1 2	2.810	26
3 2 1	2.663	100
2 0 2	2.602	66
2 4 0	2.558	55
0 4 2	2.107	91
4 0 2	1.959	20
5 2 1	1.851	24
3 2 3	1.664	30
0 0 4	1.507	19

=====

Record 2
Starting from a structure optimized by DFT (GGA-PBE), the powder X-ray diffraction pattern of AlInAg was simulated for copper Kα.

a = 7.306 Å, b = 3.939 Å, c = 12.856 Å
α = 90.00°, β = 91.97°, γ = 90.00°
Space group P2_1/m (No. 11)
One atom of each set of equivalent atoms:
Al (0.010, 0.250, 0.418) [2 per cell]
Al (0.123, 0.250, 0.046) [2 per cell]
Al (0.377, 0.750, 0.717) [2 per cell]
In (0.056, 0.250, 0.779) [2 per cell]
In (0.361, 0.750, 0.416) [2 per cell]
In (0.445, 0.750, 0.117) [2 per cell]
Ag (0.244, 0.250, 0.251) [2 per cell]
Ag (0.244, 0.750, 0.918) [2 per cell]
Ag (0.246, 0.250, 0.585) [2 per cell]

Main lines, in order of rising 2θ (10° ≤ 2θ ≤ 90°):
hkl	d_spacing	I_rel
1 0 4	2.901	42
1 1 -3	2.716	46
2 1 0	2.675	100
2 1 1	2.608	30
0 1 4	2.491	98
2 1 2	2.450	61
3 0 -3	2.148	48
0 0 6	2.141	42
3 0 3	2.085	46
0 2 0	1.969	57

=====

Record 3
Starting from a structure optimized by DFT (GGA-PBE), the powder X-ray diffraction pattern of BaSc3Te4O12 was simulated for copper Kα.

a = 11.1464 Å, b = 11.1464 Å, c = 8.7788 Å
α = 90.00°, β = 90.00°, γ = 120.00°
Space group R32 (No. 155, hexagonal axes)
One atom of each set of equivalent atoms:
Ba (0.0000, 0.0000, 0.0000) [3 per cell]
Sc (0.0000, 0.5794, 0.0000) [9 per cell]
Te (0.0000, 0.0000, 0.5000) [3 per cell]
Te (0.0000, 0.3967, 0.5000) [9 per cell]
O (0.0000, 0.5713, 0.5000) [9 per cell]
O (0.0000, 0.8130, 0.5000) [9 per cell]
O (0.0494, 0.1849, 0.2501) [18 per cell]

Main lines, in order of rising 2θ (10° ≤ 2θ ≤ 90°):
hkl	d_spacing	I_rel
1 1 0	5.573	28
2 1 1	3.369	36
2 0 2	3.247	100
3 0 0	3.218	63
1 2 2	2.806	29
1 1 3	2.591	36
1 3 1	2.561	36
0 2 4	1.998	24
2 3 2	1.977	41
5 0 2	1.767	33

=====

Record 4
Starting from a structure optimized by DFT (GGA-PBE), the powder X-ray diffraction pattern of Ho3Er3Al2 was simulated for copper Kα.

a = 5.092 Å, b = 11.509 Å, c = 15.030 Å
α = 90.00°, β = 90.00°, γ = 90.00°
Space group Cmcm (No. 63)
One atom of each set of equivalent atoms:
Ho (0.000, 0.041, 0.250) [4 per cell]
Ho (0.000, 0.149, 0.528) [8 per cell]
Er (0.000, 0.243, 0.750) [4 per cell]
Er (0.000, 0.462, 0.606) [8 per cell]
Al (0.000, 0.279, 0.150) [8 per cell]

Main lines, in order of rising 2θ (10° ≤ 2θ ≤ 90°):
hkl	d_spacing	I_rel
1 1 1	4.448	23
1 3 0	3.064	29
1 1 4	2.924	100
1 3 2	2.837	52
0 4 2	2.687	23
1 3 3	2.614	60
2 0 0	2.546	51
1 1 5	2.526	25
0 4 6	1.891	21
3 1 4	1.533	21

=====

Record 5
Starting from a structure optimized by DFT (GGA-PBE), the powder X-ray diffraction pattern of Sn4HgPb7 was simulated for copper Kα.

a = 5.5654 Å, b = 5.5654 Å, c = 13.3394 Å
α = 90.00°, β = 90.00°, γ = 120.00°
Space group P-3m1 (No. 164)
One atom of each set of equivalent atoms:
Sn (0.3333, 0.6667, 0.1619) [2 per cell]
Sn (0.3333, 0.6667, 0.4015) [2 per cell]
Hg (0.0000, 0.0000, 0.0000) [1 per cell]
Pb (0.0000, 0.0000, 0.2372) [2 per cell]
Pb (0.0000, 0.0000, 0.5000) [1 per cell]
Pb (0.3333, 0.6667, 0.6477) [2 per cell]
Pb (0.3333, 0.6667, 0.9051) [2 per cell]

Main lines, in order of rising 2θ (10° ≤ 2θ ≤ 90°):
hkl	d_spacing	I_rel
1 1 0	2.783	100
1 0 4	2.742	94
0 2 4	1.953	36
3 0 0	1.607	20
2 1 4	1.599	38
0 1 8	1.576	13
2 2 0	1.391	13
2 0 8	1.371	8
1 3 4	1.241	17
1 2 8	1.230	12

=====

Record 6
Starting from a structure optimized by DFT (GGA-PBE), the powder X-ray diffraction pattern of BaInBiPb2 was simulated for copper Kα.

a = 4.829 Å, b = 12.332 Å, c = 11.830 Å
α = 90.00°, β = 90.00°, γ = 90.00°
Space group Cmcm (No. 63)
One atom of each set of equivalent atoms:
Ba (0.000, 0.100, 0.250) [4 per cell]
In (0.000, 0.500, 0.000) [4 per cell]
Bi (0.000, 0.384, 0.250) [4 per cell]
Pb (0.000, 0.189, 0.571) [8 per cell]

Main lines, in order of rising 2θ (10° ≤ 2θ ≤ 90°):
hkl	d_spacing	I_rel
0 2 1	5.468	23
1 3 0	3.130	26
1 3 1	3.026	38
1 1 3	2.964	100
1 3 2	2.767	40
0 4 2	2.734	21
2 0 0	2.414	29
1 3 5	1.887	14
2 4 2	1.810	12
3 1 3	1.479	12